[1]
Theoretical XRD peak list of Sr2GaMo2O7 for Cu Kα, from a structure optimized by DFT (GGA+U).
Neutral-atom scattering factors, no anomalous dispersion.

Largest 6 diffraction maxima, by intensity, 2θ = 5–70°:
two_theta, I/Imax
32.8, 100
45.3, 44
27.4, 44
32.1, 41
31.2, 35
23.6, 29

```
24
Lattice="11.5735 -2.7907 0.0000 11.5735 2.7907 0.0000 -1.3998 0.0000 5.5664" Properties=species:S:1:pos:R:3 pbc="T T T"
Sr 3.3066 0.0000 0.7666
Sr 7.6115 -0.0257 1.7918
Sr 14.1357 -0.0257 3.7746
Sr 18.4407 0.0000 4.7998
Ga 4.8970 -0.1690 3.7866
Ga 16.8503 -0.1690 1.7798
Mo 0.6336 0.0216 3.1602
Mo 8.6766 0.0150 5.1316
Mo 13.0707 0.0150 0.4348
Mo 21.1137 0.0216 2.4062
O 5.2683 0.7452 2.1554
O 3.1886 0.2649 4.2507
O 8.9070 1.4728 3.6440
O 9.6149 1.4199 0.9722
O 6.4401 0.1129 4.8139
O 12.8402 1.4728 1.9224
O 12.1323 1.4199 4.5942
O 16.4790 0.7452 3.4110
O 15.3072 0.1129 0.7525
O 8.7495 -1.3972 3.6541
O 9.7518 -1.4400 1.0279
O 18.5586 0.2649 1.3157
O 11.9954 -1.4400 4.5385
O 12.9978 -1.3972 1.9123
```

[2]
Theoretical XRD peak list of Ga2Te2MoO10 for Cu Kα, from a structure optimized by DFT (GGA+U).
Neutral-atom scattering factors, no anomalous dispersion.

Largest 6 diffraction maxima, by intensity, 2θ = 5–70°:
two_theta, I/Imax
24.8, 100
35.2, 26
35.6, 22
34.6, 21
50.9, 21
37.6, 15

```
60
Lattice="9.0773 0.0000 0.0000 0.0000 6.1566 0.0000 0.0000 0.0000 15.1448" Properties=species:S:1:pos:R:3 pbc="T T T"
Ga 0.0111 0.0239 2.2583
Ga 0.0111 3.0544 2.2583
Ga 4.5276 3.1022 9.8307
Ga 4.5276 6.1327 9.8307
Ga 4.5497 0.0239 5.3141
Ga 4.5497 3.0544 5.3141
Ga 9.0662 3.1022 12.8865
Ga 9.0662 6.1327 12.8865
Te 1.6975 4.6174 4.8167
Te 2.2498 1.5391 7.4818
Te 2.2888 4.6174 15.0542
Te 2.8412 1.5391 12.3891
Te 6.2361 4.6174 2.7557
Te 6.7885 1.5391 0.0906
Te 6.8274 4.6174 7.6630
Te 7.3798 1.5391 10.3281
Mo 1.6686 4.6174 10.0483
Mo 2.8700 1.5391 2.4759
Mo 6.2072 4.6174 12.6690
Mo 7.4087 1.5391 5.0965
O 0.8188 4.6174 11.7197
O 0.8368 4.6174 1.1741
O 0.9179 1.5391 12.0349
O 0.9452 3.2513 9.2131
O 0.9452 5.9835 9.2131
O 1.0664 1.5391 1.5953
O 1.4607 3.1621 3.5806
O 1.4607 6.0727 3.5806
O 1.5996 3.1784 14.0026
O 1.5996 6.0565 14.0026
O 2.9390 0.1001 6.4302
O 2.9390 2.9782 6.4302
O 3.0779 0.0838 11.1530
O 3.0779 2.9945 11.1530
O 3.4722 4.6174 9.1677
O 3.5934 0.1730 1.6407
O 3.5934 2.9052 1.6407
O 3.6208 4.6174 4.4624
O 3.7018 1.5391 8.7465
O 3.7198 1.5391 4.1472
O 5.3575 4.6174 10.9976
O 5.3755 4.6174 6.3983
O 5.4565 1.5391 10.6824
O 5.4839 3.2513 13.5041
O 5.4839 5.9835 13.5041
O 5.6050 1.5391 5.9771
O 5.9993 3.1621 3.9918
O 5.9993 6.0727 3.9918
O 6.1383 3.1784 8.7147
O 6.1383 6.0565 8.7147
O 7.4776 0.1001 1.1423
O 7.4776 2.9782 1.1423
O 7.6166 0.0838 11.5642
O 7.6166 2.9945 11.5642
O 8.0109 4.6174 13.5496
O 8.1320 0.1730 5.9317
O 8.1320 2.9052 5.9317
O 8.1594 4.6174 3.1100
O 8.2404 1.5391 13.9708
O 8.2584 1.5391 3.4252
```

[3]
Theoretical XRD peak list of TlGaMoO6 for Cu Kα, from a structure optimized by DFT (GGA+U).
Neutral-atom scattering factors, no anomalous dispersion.

Largest 6 diffraction maxima, by intensity, 2θ = 5–70°:
two_theta, I/Imax
26.2, 100
33.8, 82
51.2, 65
20.7, 27
37.4, 23
65.1, 19

```
18
Lattice="4.8121 0.0000 0.0000 0.0000 4.8121 0.0000 0.0000 0.0000 9.5507" Properties=species:S:1:pos:R:3 pbc="T T T"
Tl 0.0000 0.0000 0.0000
Tl 2.4060 2.4060 4.7753
Ga 0.0000 0.0000 3.1261
Ga 2.4060 2.4060 7.9015
Mo 0.0000 0.0000 6.3780
Mo 2.4060 2.4060 1.6027
O 0.8411 0.8411 4.7452
O 1.0012 1.0012 7.6363
O 1.0249 1.0249 1.7177
O 1.3811 3.4310 6.4931
O 1.4048 3.4073 2.8610
O 1.5650 3.2471 9.5205
O 3.2471 1.5650 9.5205
O 3.4073 1.4048 2.8610
O 3.4310 1.3811 6.4931
O 3.7872 3.7872 1.7177
O 3.8109 3.8109 7.6363
O 3.9710 3.9710 4.7452
```